Computed X-ray diffraction stick pattern
Compound: SrC2O4
Radiation: Cu Kα (λ = 1.5418 Å)
Structure: the PBE geometry in the Materials Project
Kinematic intensities with the Lorentz-polarization factor, no thermal factor.

Cell: 5.9603 8.5330 9.5252 Å, 90.00 90.00 90.00°
Space group P2_12_12_1 (No. 19)
Symmetry-distinct sites (fractional):
Sr1 0.1058 0.0842 0.4320 (multiplicity 4)
C1 0.0410 0.3912 0.2869 (multiplicity 4)
C2 0.1084 0.2837 0.7852 (multiplicity 4)
O1 0.0957 0.3741 0.6921 (multiplicity 4)
O2 0.0997 0.8631 0.1076 (multiplicity 4)
O3 0.1319 0.2023 0.8839 (multiplicity 4)
O4 0.2223 0.3055 0.2909 (multiplicity 4)

Main lines, sorted by position (10 to 80 degrees two-theta):
- 2θ 13.93, intensity 100, hkl 0 1 1
- 2θ 20.43, intensity 57, hkl 1 1 1
- 2θ 21.37, intensity 45, hkl 0 1 2
- 2θ 26.13, intensity 99, hkl 1 1 2
- 2θ 31.92, intensity 81, hkl 1 0 3
- 2θ 32.86, intensity 59, hkl 0 3 1


Computed X-ray diffraction stick pattern
Compound: SrC2O4
Radiation: Cu Kα (λ = 1.5418 Å)
Structure: the PBE geometry in the Materials Project
Kinematic intensities with the Lorentz-polarization factor, no thermal factor.

Cell: 5.0410 6.8371 11.5392 Å, 90.00 90.00 90.00°
Space group P2_12_12_1 (No. 19)
Symmetry-distinct sites (fractional):
Sr1 0.0079 0.0055 0.4296 (multiplicity 4)
C1 0.1716 0.3838 0.8054 (multiplicity 4)
C2 0.1789 0.4202 0.3304 (multiplicity 4)
O1 0.1068 0.3184 0.2451 (multiplicity 4)
O2 0.1186 0.2797 0.8951 (multiplicity 4)
O3 0.1216 0.3473 0.7013 (multiplicity 4)
O4 0.1371 0.3731 0.4364 (multiplicity 4)

Main lines, sorted by position (10 to 80 degrees two-theta):
- 2θ 20.14, intensity 30, hkl 0 1 2
- 2θ 23.24, intensity 100, hkl 1 1 1
- 2θ 29.20, intensity 36, hkl 1 0 3
- 2θ 39.54, intensity 50, hkl 1 2 3
- 2θ 41.26, intensity 27, hkl 2 1 2
- 2θ 44.32, intensity 24, hkl 1 3 1


Computed X-ray diffraction stick pattern
Compound: SrC2O5
Radiation: Cu Kα (λ = 1.5418 Å)
Structure: the PBE geometry in the Materials Project
Kinematic intensities with the Lorentz-polarization factor, no thermal factor.

Cell: 10.4435 7.6830 6.5530 Å, 90.00 108.25 90.00°
Space group C2/m (No. 12)
Symmetry-distinct sites (fractional):
Sr1 0.1903 0.0000 0.0173 (multiplicity 4)
C1 0.0000 0.3972 0.0000 (multiplicity 4)
C2 0.0663 0.0000 0.4631 (multiplicity 4)
O1 0.0467 0.0000 0.2634 (multiplicity 4)
O2 0.1068 0.3218 0.9946 (multiplicity 8)
O3 0.1330 0.5000 0.5675 (multiplicity 4)
O4 0.1768 0.0000 0.6117 (multiplicity 4)

Main lines, sorted by position (10 to 80 degrees two-theta):
- 2θ 14.23, intensity 100, hkl 0 0 1
- 2θ 14.58, intensity 27, hkl 1 1 0
- 2θ 23.15, intensity 69, hkl 0 2 0
- 2θ 28.71, intensity 64, hkl 0 0 2
- 2θ 29.41, intensity 34, hkl 3 1 0
- 2θ 34.84, intensity 31, hkl 3 1 -2